Structure and theoretical PXRD pattern of BaCa2MgHg4 (a structure optimized by DFT (GGA-PBE); Cu Kα, 1.54184 Å).
Lines closer than 0.1° are merged.

Structure:
abc: 5.2594 5.2594 29.4732
angles: 90.00 90.00 120.00
Space group R-3m (No. 166, hexagonal axes)
Inequivalent atoms, fractional coordinates:
Ba 0.0000 0.0000 0.0000 (multiplicity 3)
Ca 0.0000 0.0000 0.2345 (multiplicity 6)
Mg 0.0000 0.0000 0.5000 (multiplicity 3)
Hg 0.0000 0.0000 0.1265 (multiplicity 6)
Hg 0.0000 0.0000 0.3954 (multiplicity 6)

Largest 12 diffraction maxima, low angle first, 10° ≤ 2θ ≤ 90°:
2θ (°), I (rel.), h k l
23.0, 630, 1 0 4
24.7, 155, 0 1 5
28.9, 221, 1 0 7
31.2, 788, 0 1 8
34.1, 1000, 1 1 0
36.3, 162, 1 0 10
39.0, 168, 0 1 11
41.5, 145, 0 2 4
46.9, 257, 2 0 8
58.7, 200, 1 1 15
59.2, 256, 1 2 8
61.0, 187, 3 0 0

Structure and theoretical PXRD pattern of Li5HgPd6 (a structure optimized by DFT (GGA-PBE); Cu Kα, 1.54184 Å).
Lines closer than 0.1° are merged.

Structure:
abc: 4.306 12.841 6.279
angles: 90.00 90.07 90.00
Space group C2/m (No. 12)
Inequivalent atoms, fractional coordinates:
Li 0.000 0.000 0.000 (multiplicity 2)
Li 0.000 0.335 0.000 (multiplicity 4)
Li 0.000 0.335 0.500 (multiplicity 4)
Hg 0.000 0.000 0.500 (multiplicity 2)
Pd 0.000 0.172 0.236 (multiplicity 8)
Pd 0.000 0.500 0.228 (multiplicity 4)

Largest 12 diffraction maxima, low angle first, 10° ≤ 2θ ≤ 90°:
2θ (°), I (rel.), h k l
13.8, 135, 0 2 0
19.8, 151, 0 2 1
21.8, 114, 1 1 0
26.0, 198, 1 1 1
28.4, 160, 0 0 2
29.4, 309, 1 3 0
32.8, 178, 1 3 -1
41.4, 1000, 1 3 2
42.0, 250, 2 0 0
42.2, 240, 0 6 0
61.0, 174, 2 6 0
76.3, 162, 3 3 2

Structure and theoretical PXRD pattern of PrYTh (a structure optimized by DFT (GGA-PBE); Cu Kα, 1.54184 Å).
Lines closer than 0.1° are merged.

Structure:
abc: 15.372 5.126 5.126
angles: 90.00 90.00 90.00
Space group Aem2 (No. 39)
Inequivalent atoms, fractional coordinates:
Pr 0.087 0.250 0.000 (multiplicity 4)
Y 0.260 0.250 0.499 (multiplicity 4)
Th 0.421 0.250 0.999 (multiplicity 4)

Largest 12 diffraction maxima, low angle first, 10° ≤ 2θ ≤ 90°:
2θ (°), I (rel.), h k l
11.5, 100, 2 0 0
25.2, 58, 1 1 1
30.2, 1000, 3 1 1
34.0, 43, 4 1 1
35.0, 506, 0 2 0
38.4, 31, 5 1 1
50.4, 358, 0 2 2
59.8, 422, 3 3 1
62.8, 121, 6 2 2
74.0, 56, 0 4 0
81.9, 169, 3 3 3
84.5, 157, 0 4 2

Structure and theoretical PXRD pattern of AcPa4Nb3N12 (a structure optimized by DFT (GGA-PBE); Cu Kα, 1.54184 Å).
Lines closer than 0.1° are merged.

Structure:
abc: 8.371 8.371 8.371
angles: 90.00 90.00 90.00
Space group Im-3 (No. 204)
Inequivalent atoms, fractional coordinates:
Ac 0.000 0.000 0.000 (multiplicity 2)
Pa 0.250 0.250 0.250 (multiplicity 8)
Nb 0.000 0.000 0.500 (multiplicity 6)
N 0.000 0.315 0.166 (multiplicity 24)

Largest 12 diffraction maxima, low angle first, 10° ≤ 2θ ≤ 90°:
2θ (°), I (rel.), h k l
15.0, 36, 1 1 0
21.2, 100, 2 0 0
30.2, 1000, 2 2 0
37.2, 24, 2 2 2
40.3, 24, 3 1 2
43.2, 210, 4 0 0
48.6, 56, 4 2 0
53.6, 458, 4 2 2
62.8, 133, 4 4 0
71.3, 187, 6 2 0
79.3, 48, 4 4 4
87.1, 225, 6 2 4

Repeat the first record exactly.
Structure and theoretical PXRD pattern of BaCa2MgHg4 (a structure optimized by DFT (GGA-PBE); Cu Kα, 1.54184 Å).
Lines closer than 0.1° are merged.

Structure:
abc: 5.2594 5.2594 29.4732
angles: 90.00 90.00 120.00
Space group R-3m (No. 166, hexagonal axes)
Inequivalent atoms, fractional coordinates:
Ba 0.0000 0.0000 0.0000 (multiplicity 3)
Ca 0.0000 0.0000 0.2345 (multiplicity 6)
Mg 0.0000 0.0000 0.5000 (multiplicity 3)
Hg 0.0000 0.0000 0.1265 (multiplicity 6)
Hg 0.0000 0.0000 0.3954 (multiplicity 6)

Largest 12 diffraction maxima, low angle first, 10° ≤ 2θ ≤ 90°:
2θ (°), I (rel.), h k l
23.0, 630, 1 0 4
24.7, 155, 0 1 5
28.9, 221, 1 0 7
31.2, 788, 0 1 8
34.1, 1000, 1 1 0
36.3, 162, 1 0 10
39.0, 168, 0 1 11
41.5, 145, 0 2 4
46.9, 257, 2 0 8
58.7, 200, 1 1 15
59.2, 256, 1 2 8
61.0, 187, 3 0 0